# PmHg2MoO6
Simulated XRD peak list, Cu Kα (weighted mean of Kα1 and Kα2). Input: a GGA+U-relaxed structure.
Kinematic intensities with the Lorentz-polarization factor, no thermal factor.

Top 10 peaks for 15° ≤ 2θ ≤ 90°, by intensity:
2θ = 29.85°, rel. 100, (1 1 2); 2θ = 31.06°, rel. 81, (2 1 1); 2θ = 29.29°, rel. 52, (1 0 -1); 2θ = 30.81°, rel. 42, (1 -1 0); 2θ = 54.48°, rel. 28, (1 3 0); 2θ = 43.02°, rel. 22, (0 2 2); 2θ = 54.89°, rel. 21, (0 3 1); 2θ = 43.37°, rel. 21, (2 2 0); 2θ = 43.86°, rel. 21, (2 0 2); 2θ = 62.00°, rel. 14, (2 2 4)

Structural model:
a = 5.756 Å, b = 5.764 Å, c = 5.999 Å
α = 61.33°, β = 62.54°, γ = 60.52°
Fractional positions:
Pm1 0.000 0.000 0.000
Hg1 0.247 0.236 0.256
Hg2 0.753 0.764 0.744
Mo1 0.500 0.500 0.500
O1 0.160 0.730 0.729
O2 0.287 0.610 0.267
O3 0.383 0.156 0.735
O4 0.617 0.844 0.265
O5 0.713 0.390 0.733
O6 0.840 0.270 0.271